(1)
For Li3Ga3Pt2, a structure optimized by DFT (GGA-PBE) gives the simulated XRD peak list in this record (a wavelength of 1.5418 Å).
No peak broadening, texture or thermal motion is included.

Largest 6 diffraction maxima, by angle, 15 to 90 degrees two-theta:
2θ 25.19, I = 94
2θ 41.72, I = 100
2θ 49.34, I = 35
2θ 49.41, I = 12
2θ 60.47, I = 16
2θ 76.21, I = 25

Cell and atoms:
```
Li3Ga3Pt2
1.0
2.1627 1.2486 7.0874
-2.1627 1.2486 7.0874
0.0000 -2.4972 7.0874
Li Ga Pt
3 3 2
direct
0.0000 0.0000 0.0000
0.1267 0.1267 0.1267
0.5000 0.5000 0.5000
0.3788 0.3788 0.3788
0.6238 0.6238 0.6238
0.8703 0.8703 0.8703
0.2532 0.2532 0.2532
0.7466 0.7466 0.7466
```



(2)
For Li2Ga5Pt, a structure optimized by DFT (GGA-PBE) gives the simulated XRD peak list in this record (a wavelength of 1.5418 Å).
No peak broadening, texture or thermal motion is included.

Largest 6 diffraction maxima, by angle, 15 to 90 degrees two-theta:
2θ 22.17, I = 100
2θ 23.48, I = 70
2θ 39.46, I = 53
2θ 40.20, I = 65
2θ 41.75, I = 43
2θ 42.51, I = 59

Cell and atoms:
```
Li2Ga5Pt
1.0
4.5814 0.0000 0.0000
0.0000 12.7045 0.0000
-1.9287 0.0000 4.6017
Li Ga Pt
4 10 2
direct
0.2119 0.1401 0.4527
0.2119 0.3599 0.4527
0.7881 0.6401 0.5473
0.7881 0.8599 0.5473
0.0697 0.5888 0.1495
0.0697 0.9112 0.1495
0.3741 0.5565 0.7447
0.3741 0.9435 0.7447
0.4920 0.7500 0.0439
0.5080 0.2500 0.9561
0.6259 0.0565 0.2553
0.6259 0.4435 0.2553
0.9303 0.0888 0.8505
0.9303 0.4112 0.8505
0.2660 0.7500 0.4797
0.7340 0.2500 0.5203
```



(3)
For Li2Ga2Pt7, a structure optimized by DFT (GGA-PBE) gives the simulated XRD peak list in this record (a wavelength of 1.5418 Å).
No peak broadening, texture or thermal motion is included.

Largest 6 diffraction maxima, by angle, 15 to 90 degrees two-theta:
2θ 24.01, I = 100
2θ 28.36, I = 86
2θ 35.75, I = 93
2θ 40.71, I = 66
2θ 42.40, I = 43
2θ 47.05, I = 62

Cell and atoms:
```
Li2Ga2Pt7
1.0
5.0814 -4.0158 0.0000
5.0814 4.0158 0.0000
-0.3339 0.0000 4.4321
Li Ga Pt
2 2 7
direct
0.2430 0.2430 0.2692
0.7570 0.7570 0.7308
0.2793 0.7207 0.5000
0.7207 0.2793 0.5000
0.0685 0.0685 0.7722
0.1212 0.4757 0.7630
0.4757 0.1212 0.7630
0.5000 0.5000 0.0000
0.5243 0.8788 0.2370
0.8788 0.5243 0.2370
0.9315 0.9315 0.2278
```



(4)
For Li3Ga5Pt2, a structure optimized by DFT (GGA-PBE) gives the simulated XRD peak list in this record (a wavelength of 1.5418 Å).
No peak broadening, texture or thermal motion is included.

Largest 6 diffraction maxima, by angle, 15 to 90 degrees two-theta:
2θ 23.47, I = 26
2θ 24.60, I = 100
2θ 43.53, I = 50
2θ 44.74, I = 25
2θ 48.12, I = 24
2θ 66.95, I = 23

Cell and atoms:
```
Li3Ga5Pt2
1.0
-5.3625 6.2278 2.6671
5.3625 -6.2278 2.6671
5.3625 6.2278 -2.6671
Li Ga Pt
6 10 4
direct
0.2137 0.1024 0.3161
0.2500 0.2500 0.0000
0.2863 0.6024 0.8887
0.7137 0.3976 0.1113
0.7500 0.7500 0.0000
0.7863 0.8976 0.6839
0.1557 0.3743 0.5300
0.2500 0.0058 0.7558
0.2500 0.4942 0.2442
0.2500 0.7500 0.5000
0.3443 0.8743 0.2186
0.6557 0.1257 0.7814
0.7500 0.2500 0.5000
0.7500 0.5058 0.7558
0.7500 0.9942 0.2442
0.8443 0.6257 0.4700
0.1496 0.8491 0.9986
0.3504 0.3491 0.6995
0.6496 0.6509 0.3005
0.8504 0.1509 0.0014
```



(5)
For LiYGa2Pt4, a structure optimized by DFT (GGA-PBE) gives the simulated XRD peak list in this record (a wavelength of 1.5418 Å).
No peak broadening, texture or thermal motion is included.

Largest 6 diffraction maxima, by angle, 15 to 90 degrees two-theta:
2θ 27.88, I = 55
2θ 29.97, I = 22
2θ 34.97, I = 40
2θ 37.80, I = 61
2θ 41.80, I = 100
2θ 47.25, I = 34

Cell and atoms:
```
LiYGa2Pt4
1.0
2.1608 1.2476 8.2234
-2.1608 1.2476 8.2234
0.0000 -2.4951 8.2234
Li Y Ga Pt
1 1 2 4
direct
0.0000 0.0000 0.0000
0.5000 0.5000 0.5000
0.2596 0.2596 0.2596
0.7404 0.7404 0.7404
0.0986 0.0986 0.0986
0.3688 0.3688 0.3688
0.6312 0.6312 0.6312
0.9014 0.9014 0.9014
```